1.
This entry pairs a crystal structure of Li2As3Pd5 with its theoretical powder diffractogram. Radiation: Cu Ka. Structure: a DFT-relaxed cell (GGA-PBE, Alexandria).
No peak broadening, texture or thermal motion is included.

a b c (Å): 12.1925 12.1925 6.3373
angles (deg): 90.00 90.00 160.40
Fractional positions:
Li 0.0229 0.9771 0.5000
Li 0.3051 0.6949 0.2483
Li 0.6949 0.3051 0.7483
Li 0.9771 0.0229 0.0000
As 0.1206 0.8794 0.7247
As 0.2910 0.7090 0.7239
As 0.4627 0.5373 0.7036
As 0.5373 0.4627 0.2036
As 0.7090 0.2910 0.2239
As 0.8794 0.1206 0.2247
Pd 0.0939 0.9061 0.1302
Pd 0.2057 0.7943 0.4735
Pd 0.2085 0.7915 0.9841
Pd 0.3802 0.6198 0.9429
Pd 0.4392 0.5608 0.3253
Pd 0.5608 0.4392 0.8253
Pd 0.6198 0.3802 0.4429
Pd 0.7915 0.2085 0.4841
Pd 0.7943 0.2057 0.9735
Pd 0.9061 0.0939 0.6302

Largest 10 diffraction maxima, in order of rising 2θ, 2θ from 15° to 90°:
d = 3.685 Å, 24.2°, intensity 29; d = 3.386 Å, 26.3°, intensity 18; d = 3.064 Å, 29.1°, intensity 21; d = 2.505 Å, 35.9°, intensity 20; d = 2.441 Å, 36.8°, intensity 20; d = 2.246 Å, 40.2°, intensity 18; d = 2.231 Å, 40.4°, intensity 100; d = 2.075 Å, 43.6°, intensity 46; d = 2.031 Å, 44.6°, intensity 47; d = 1.849 Å, 49.3°, intensity 18

---

2.
This entry pairs a crystal structure of HRu with its theoretical powder diffractogram. Radiation: Cu Ka. Structure: a DFT-relaxed cell (GGA-PBE, Alexandria).
No peak broadening, texture or thermal motion is included.

a b c (Å): 9.1623 2.7282 4.4851
angles (deg): 90.00 90.00 90.00
Fractional positions:
H 0.0000 0.2503 0.0000
H 0.0971 0.7404 0.6124
H 0.4029 0.2596 0.1124
H 0.5000 0.7497 0.5000
H 0.5971 0.2596 0.1124
H 0.9029 0.7404 0.6124
Ru 0.0000 0.7506 0.2700
Ru 0.2185 0.2512 0.0359
Ru 0.2815 0.7488 0.5359
Ru 0.5000 0.2494 0.7700
Ru 0.7185 0.7488 0.5359
Ru 0.7815 0.2512 0.0359

Largest 10 diffraction maxima, in order of rising 2θ, 2θ from 15° to 90°:
d = 4.581 Å, 19.4°, intensity 30; d = 4.028 Å, 22.1°, intensity 79; d = 2.524 Å, 35.6°, intensity 38; d = 2.331 Å, 38.6°, intensity 71; d = 2.291 Å, 39.3°, intensity 41; d = 2.077 Å, 43.6°, intensity 100; d = 2.035 Å, 44.5°, intensity 44; d = 2.014 Å, 45.0°, intensity 77; d = 1.634 Å, 56.3°, intensity 27; d = 1.259 Å, 75.5°, intensity 29

---

3.
This entry pairs a crystal structure of Ta2Ti4Pb with its theoretical powder diffractogram. Radiation: Cu Ka. Structure: a DFT-relaxed cell (GGA-PBE, Alexandria).
No peak broadening, texture or thermal motion is included.

a b c (Å): 4.8090 4.8090 7.4440
angles (deg): 90.00 90.00 120.00
Fractional positions:
Ta 0.3333 0.6667 0.0770
Ta 0.6667 0.3333 0.9230
Ti 0.3333 0.6667 0.4166
Ti 0.3333 0.6667 0.7540
Ti 0.6667 0.3333 0.2460
Ti 0.6667 0.3333 0.5834
Pb 0.0000 0.0000 0.5000

Largest 10 diffraction maxima, in order of rising 2θ, 2θ from 15° to 90°:
d = 3.722 Å, 23.9°, intensity 20; d = 3.635 Å, 24.5°, intensity 100; d = 2.775 Å, 32.3°, intensity 21; d = 2.405 Å, 37.4°, intensity 84; d = 2.132 Å, 42.4°, intensity 56; d = 2.020 Å, 44.9°, intensity 24; d = 2.005 Å, 45.2°, intensity 21; d = 1.595 Å, 57.8°, intensity 22; d = 1.388 Å, 67.5°, intensity 21; d = 1.329 Å, 70.9°, intensity 24

---

4.
This entry pairs a crystal structure of PrPaTe6 with its theoretical powder diffractogram. Radiation: Cu Ka. Structure: a DFT-relaxed cell (GGA-PBE, Alexandria).
No peak broadening, texture or thermal motion is included.

a b c (Å): 4.4357 13.4484 13.4484
angles (deg): 18.98 90.00 90.00
Fractional positions:
Pr 0.0000 0.0000 0.0000
Pa 0.5000 0.6610 0.6610
Te 0.0000 0.1268 0.1268
Te 0.0000 0.4068 0.4068
Te 0.0000 0.7483 0.7483
Te 0.5000 0.2483 0.2483
Te 0.5000 0.5401 0.5401
Te 0.5000 0.9067 0.9067

Largest 10 diffraction maxima, in order of rising 2θ, 2θ from 15° to 90°:
d = 3.316 Å, 26.9°, intensity 35; d = 3.114 Å, 28.7°, intensity 26; d = 2.955 Å, 30.2°, intensity 100; d = 2.700 Å, 33.2°, intensity 51; d = 2.656 Å, 33.8°, intensity 21; d = 2.416 Å, 37.2°, intensity 42; d = 2.217 Å, 40.7°, intensity 59; d = 1.843 Å, 49.4°, intensity 26; d = 1.567 Å, 58.9°, intensity 26; d = 1.385 Å, 67.6°, intensity 19

---

Question: Number 4 is which compound?
Answer: PrPaTe6